NaCa3Nd3S8: theoretical X-ray powder pattern (copper Kα), based on a DFT-relaxed cell (GGA-PBE, Alexandria).
Intensities are scaled so that the largest is 100.

Most intense lines, 2θ from 10° to 80°, by angle:
two_theta	Rel. int.
13.41	42.3
15.46	20.1
21.93	17.7
25.74	27.6
26.91	19.4
31.20	100.0
34.10	12.2
44.63	35.2
44.79	34.8
55.46	18.0
73.83	15.0
74.05	14.8

Cell and atoms:
abc: 8.094 8.094 8.094
angles: 60.21 60.21 60.21
Fractional positions:
Na  0.000  0.000  0.000
Ca  0.000  0.000  0.500
Ca  0.000  0.500  0.000
Ca  0.500  0.000  0.000
Nd  0.000  0.500  0.500
Nd  0.500  0.000  0.500
Nd  0.500  0.500  0.000
S  0.249  0.249  0.249
S  0.249  0.249  0.747
S  0.249  0.747  0.249
S  0.253  0.751  0.751
S  0.747  0.249  0.249
S  0.751  0.253  0.751
S  0.751  0.751  0.253
S  0.751  0.751  0.751

---

Pr3Nd8Sc: theoretical X-ray powder pattern (copper Kα), based on a DFT-relaxed cell (GGA-PBE, Alexandria).
Intensities are scaled so that the largest is 100.

Most intense lines, 2θ from 10° to 80°, by angle:
two_theta	Rel. int.
23.79	86.3
25.32	88.7
28.59	82.5
30.72	77.2
32.35	45.4
35.66	100.0
42.46	50.7
43.86	49.7
48.70	28.6
55.35	29.4
57.87	30.8
68.17	32.4

Cell and atoms:
abc: 8.536 8.536 8.536
angles: 117.71 117.71 94.02
Fractional positions:
Pr  0.000  0.000  0.000
Pr  0.250  0.750  0.500
Pr  0.750  0.250  0.500
Nd  0.132  0.132  0.750
Nd  0.243  0.721  0.000
Nd  0.279  0.279  0.522
Nd  0.382  0.382  0.250
Nd  0.618  0.868  0.000
Nd  0.721  0.243  0.000
Nd  0.757  0.757  0.478
Nd  0.868  0.618  0.000
Sc  0.500  0.500  0.000

---

CaAg12: theoretical X-ray powder pattern (copper Kα), based on a DFT-relaxed cell (GGA-PBE, Alexandria).
Intensities are scaled so that the largest is 100.

Most intense lines, 2θ from 10° to 80°, by angle:
two_theta	Rel. int.
18.37	24.2
18.63	18.6
32.25	36.8
37.23	65.9
37.37	91.3
37.77	71.9
41.82	60.6
41.95	53.2
42.31	100.0
61.47	19.7
67.23	20.0
67.49	28.8

Cell and atoms:
abc: 7.358 7.358 7.358
angles: 97.96 97.96 136.31
Fractional positions:
Ca  0.000  0.000  0.000
Ag  0.000  0.000  0.500
Ag  0.000  0.353  0.353
Ag  0.000  0.500  0.000
Ag  0.000  0.647  0.647
Ag  0.284  0.500  0.784
Ag  0.353  0.000  0.353
Ag  0.500  0.000  0.000
Ag  0.500  0.284  0.784
Ag  0.500  0.500  0.500
Ag  0.500  0.716  0.216
Ag  0.647  0.000  0.647
Ag  0.716  0.500  0.216

---

CeNi3Ir2: theoretical X-ray powder pattern (copper Kα), based on a DFT-relaxed cell (GGA-PBE, Alexandria).
Intensities are scaled so that the largest is 100.

Most intense lines, 2θ from 10° to 80°, by angle:
two_theta	Rel. int.
20.35	12.3
21.13	28.6
35.63	46.7
41.79	100.0
43.02	22.9
46.91	12.5
57.05	24.7
64.00	8.8
68.21	23.4
75.45	12.8
78.01	16.0
79.40	5.3

Cell and atoms:
abc: 5.040 5.040 4.205
angles: 90.00 90.00 120.00
Fractional positions:
Ce  0.000  0.000  0.000
Ni  0.000  0.500  0.500
Ni  0.500  0.000  0.500
Ni  0.500  0.500  0.500
Ir  0.333  0.667  0.000
Ir  0.667  0.333  0.000

---

Nd4Si: theoretical X-ray powder pattern (copper Kα), based on a DFT-relaxed cell (GGA-PBE, Alexandria).
Intensities are scaled so that the largest is 100.

Most intense lines, 2θ from 10° to 80°, by angle:
two_theta	Rel. int.
15.61	0.9
22.14	0.8
27.20	100.0
31.51	62.8
45.17	46.3
53.53	46.3
56.11	16.2
65.79	7.5
72.57	18.6
74.77	20.7

Cell and atoms:
abc: 5.678 5.678 5.678
angles: 90.00 90.00 90.00
Fractional positions:
Nd  0.000  0.000  0.000
Nd  0.000  0.500  0.500
Nd  0.500  0.000  0.500
Nd  0.500  0.500  0.000
Si  0.500  0.500  0.500

---

Er2Be7Au12: theoretical X-ray powder pattern (copper Kα), based on a DFT-relaxed cell (GGA-PBE, Alexandria).
Intensities are scaled so that the largest is 100.

Most intense lines, 2θ from 10° to 80°, by angle:
two_theta	Rel. int.
27.47	27.3
28.97	9.9
35.86	100.0
46.10	28.6
48.56	13.2
54.54	8.7
61.81	7.2
67.24	9.3
69.23	9.2
69.91	6.2
72.83	9.3
78.69	10.7

Cell and atoms:
abc: 9.921 9.921 3.934
angles: 90.00 90.00 120.00
Fractional positions:
Er  0.333  0.667  0.252
Er  0.667  0.333  0.748
Be  0.000  0.000  0.000
Be  0.113  0.400  0.753
Be  0.288  0.887  0.753
Be  0.400  0.288  0.247
Be  0.600  0.712  0.753
Be  0.712  0.113  0.247
Be  0.887  0.600  0.247
Au  0.082  0.621  0.749
Au  0.120  0.860  0.252
Au  0.140  0.260  0.252
Au  0.260  0.120  0.748
Au  0.379  0.460  0.749
Au  0.460  0.082  0.251
Au  0.540  0.918  0.749
Au  0.621  0.540  0.251
Au  0.740  0.880  0.252
Au  0.860  0.740  0.748
Au  0.880  0.140  0.748
Au  0.918  0.379  0.251

---

Repeat the third record exactly.
CaAg12: theoretical X-ray powder pattern (copper Kα), based on a DFT-relaxed cell (GGA-PBE, Alexandria).
Intensities are scaled so that the largest is 100.

Most intense lines, 2θ from 10° to 80°, by angle:
two_theta	Rel. int.
18.37	24.2
18.63	18.6
32.25	36.8
37.23	65.9
37.37	91.3
37.77	71.9
41.82	60.6
41.95	53.2
42.31	100.0
61.47	19.7
67.23	20.0
67.49	28.8

Cell and atoms:
abc: 7.358 7.358 7.358
angles: 97.96 97.96 136.31
Fractional positions:
Ca  0.000  0.000  0.000
Ag  0.000  0.000  0.500
Ag  0.000  0.353  0.353
Ag  0.000  0.500  0.000
Ag  0.000  0.647  0.647
Ag  0.284  0.500  0.784
Ag  0.353  0.000  0.353
Ag  0.500  0.000  0.000
Ag  0.500  0.284  0.784
Ag  0.500  0.500  0.500
Ag  0.500  0.716  0.216
Ag  0.647  0.000  0.647
Ag  0.716  0.500  0.216